Li3V4O8: calculated X-ray diffraction stick pattern (Cu Kα (weighted mean of Kα1 and Kα2)), based on a cell relaxed with PBE+U.

Cell: 10.245 5.901 10.706 Å, 90.00 108.62 90.00°
Space group C2/c (No. 15)
One atom of each set of equivalent atoms:
Li  0.177  0.244  0.284 (multiplicity 8)
Li  0.250  0.250  0.500 (multiplicity 4)
V  0.000  0.000  0.000 (multiplicity 4)
V  0.000  0.253  0.750 (multiplicity 4)
V  0.000  0.500  0.000 (multiplicity 4)
V  0.250  0.250  0.000 (multiplicity 4)
O  0.110  0.260  0.101 (multiplicity 8)
O  0.113  0.261  0.621 (multiplicity 8)
O  0.122  0.015  0.884 (multiplicity 8)
O  0.123  0.491  0.886 (multiplicity 8)

Largest 10 diffraction maxima, sorted by position, 2θ = 15–90°:
2θ = 17.48°, I 50
2θ = 18.29°, I 97
2θ = 34.28°, I 19
2θ = 35.16°, I 34
2θ = 35.58°, I 19
2θ = 42.59°, I 100
2θ = 55.46°, I 10
2θ = 56.37°, I 11
2θ = 60.67°, I 20
2θ = 62.89°, I 19